(1)
The following is a simulated PXRD pattern of NbHgBi. It was derived from a crystal structure in OQMD, relaxed with GGA-PBE, using Cu Kα, 1.54184 Å.
Intensities are scaled so that the largest is 100.

The 10 most intense peaks (2θ = 15–90°), in order of falling intensity:
2θ = 32.9°, intensity 100; 2θ = 35.9°, intensity 75; 2θ = 28.8°, intensity 73; 2θ = 62.6°, intensity 32; 2θ = 51.1°, intensity 32; 2θ = 51.6°, intensity 27; 2θ = 64.0°, intensity 24; 2θ = 35.1°, intensity 22; 2θ = 60.2°, intensity 20; 2θ = 56.7°, intensity 15

Crystal structure
a = 3.540 Å, b = 3.541 Å, c = 12.776 Å
α = 90.00°, β = 90.04°, γ = 90.00°
Space group P2_1 (No. 4)
Symmetry-distinct sites (fractional):
Nb (0.250, 0.000, 0.055) x2
Hg (0.251, 0.999, 0.406) x2
Bi (0.249, 0.000, 0.810) x2

***

(2)
The following is a simulated PXRD pattern of NdGdPt2. It was derived from a crystal structure in OQMD, relaxed with GGA-PBE, using Cu Kα, 1.54184 Å.
Intensities are scaled so that the largest is 100.

The 10 most intense peaks (2θ = 15–90°), in order of falling intensity:
2θ = 35.4°, intensity 100; 2θ = 39.5°, intensity 91; 2θ = 31.5°, intensity 70; 2θ = 39.3°, intensity 50; 2θ = 34.0°, intensity 42; 2θ = 53.0°, intensity 24; 2θ = 53.1°, intensity 23; 2θ = 68.1°, intensity 22; 2θ = 40.6°, intensity 21; 2θ = 19.9°, intensity 19

Crystal structure
a = 4.583 Å, b = 7.239 Å, c = 5.656 Å
α = 90.00°, β = 90.00°, γ = 90.00°
Space group Pmn2_1 (No. 31)
Symmetry-distinct sites (fractional):
Nd (0.000, 0.069, 0.000) x2
Gd (0.000, 0.567, 0.220) x2
Pt (0.000, 0.217, 0.515) x2
Pt (0.000, 0.695, 0.706) x2

***

(3)
The following is a simulated PXRD pattern of Pu2Sn2Se5. It was derived from a crystal structure in OQMD, relaxed with GGA-PBE, using Cu Kα, 1.54184 Å.
Intensities are scaled so that the largest is 100.

The 10 most intense peaks (2θ = 15–90°), in order of falling intensity:
2θ = 29.1°, intensity 100; 2θ = 42.8°, intensity 39; 2θ = 40.4°, intensity 36; 2θ = 52.6°, intensity 20; 2θ = 15.7°, intensity 18; 2θ = 70.0°, intensity 17; 2θ = 76.8°, intensity 11; 2θ = 36.2°, intensity 11; 2θ = 60.3°, intensity 11; 2θ = 24.3°, intensity 9

Crystal structure
a = 4.2254 Å, b = 4.2254 Å, c = 16.9222 Å
α = 90.00°, β = 90.00°, γ = 120.00°
Space group P-3m1 (No. 164)
Symmetry-distinct sites (fractional):
Pu (0.0000, 0.0000, 0.1794) x2
Sn (0.3333, 0.6667, 0.6063) x2
Se (0.0000, 0.0000, 0.5000) x1
Se (0.3333, 0.6667, 0.2846) x2
Se (0.3333, 0.6667, 0.9025) x2

***

(4)
The following is a simulated PXRD pattern of Be2PdPt3. It was derived from a crystal structure in OQMD, relaxed with GGA-PBE, using Cu Kα, 1.54184 Å.
Intensities are scaled so that the largest is 100.

The 10 most intense peaks (2θ = 15–90°), in order of falling intensity:
2θ = 42.4°, intensity 100; 2θ = 33.5°, intensity 84; 2θ = 46.3°, intensity 48; 2θ = 35.9°, intensity 36; 2θ = 59.9°, intensity 34; 2θ = 74.7°, intensity 31; 2θ = 83.0°, intensity 29; 2θ = 67.5°, intensity 16; 2θ = 77.5°, intensity 15; 2θ = 78.9°, intensity 15

Crystal structure
a = 2.776 Å, b = 2.776 Å, c = 10.002 Å
α = 90.00°, β = 90.00°, γ = 90.00°
Space group P4mm (No. 99)
Symmetry-distinct sites (fractional):
Be (0.000, 0.000, 0.000) x1
Be (0.500, 0.500, 0.500) x1
Pd (0.000, 0.000, 0.646) x1
Pt (0.000, 0.000, 0.361) x1
Pt (0.500, 0.500, 0.145) x1
Pt (0.500, 0.500, 0.857) x1

***

(5)
The following is a simulated PXRD pattern of Nd2Sm2CIBr2Cl2. It was derived from a crystal structure in OQMD, relaxed with GGA-PBE, using Cu Kα, 1.54184 Å.
Intensities are scaled so that the largest is 100.

The 10 most intense peaks (2θ = 15–90°), in order of falling intensity:
2θ = 30.3°, intensity 100; 2θ = 44.2°, intensity 54; 2θ = 31.4°, intensity 45; 2θ = 30.8°, intensity 38; 2θ = 20.8°, intensity 27; 2θ = 27.9°, intensity 26; 2θ = 33.1°, intensity 21; 2θ = 35.7°, intensity 21; 2θ = 16.4°, intensity 20; 2θ = 45.7°, intensity 18

Crystal structure
a = 17.655 Å, b = 3.970 Å, c = 8.826 Å
α = 90.00°, β = 104.61°, γ = 90.00°
Space group C2/m (No. 12)
Symmetry-distinct sites (fractional):
Nd (0.002, 0.000, 0.305) x4
Sm (0.144, 0.500, 0.576) x4
C (0.000, 0.500, 0.500) x2
I (0.000, 0.500, 0.000) x2
Br (0.173, 0.000, 0.826) x4
Cl (0.172, 0.000, 0.366) x4

***

(6)
The following is a simulated PXRD pattern of Lu11Ge10. It was derived from a crystal structure in OQMD, relaxed with GGA-PBE, using Cu Kα, 1.54184 Å.
Intensities are scaled so that the largest is 100.

The 10 most intense peaks (2θ = 15–90°), in order of falling intensity:
2θ = 33.7°, intensity 100; 2θ = 34.6°, intensity 84; 2θ = 35.5°, intensity 56; 2θ = 37.8°, intensity 44; 2θ = 35.3°, intensity 38; 2θ = 33.5°, intensity 36; 2θ = 34.7°, intensity 35; 2θ = 58.0°, intensity 25; 2θ = 25.6°, intensity 22; 2θ = 54.3°, intensity 20

Crystal structure
a = 10.714 Å, b = 10.714 Å, c = 15.965 Å
α = 90.00°, β = 90.00°, γ = 90.00°
Space group I4/mmm (No. 139)
Symmetry-distinct sites (fractional):
Lu (0.000, 0.000, 0.161) x4
Lu (0.000, 0.252, 0.311) x16
Lu (0.000, 0.326, 0.102) x16
Lu (0.177, 0.177, 0.500) x8
Ge (0.000, 0.000, 0.386) x4
Ge (0.000, 0.358, 0.500) x8
Ge (0.000, 0.500, 0.250) x4
Ge (0.122, 0.122, 0.000) x8
Ge (0.209, 0.209, 0.180) x16

***

(7)
The following is a simulated PXRD pattern of GdHoAlIr2. It was derived from a crystal structure in OQMD, relaxed with GGA-PBE, using Cu Kα, 1.54184 Å.
Intensities are scaled so that the largest is 100.

The 10 most intense peaks (2θ = 15–90°), in order of falling intensity:
2θ = 39.4°, intensity 100; 2θ = 37.3°, intensity 82; 2θ = 38.4°, intensity 79; 2θ = 34.0°, intensity 53; 2θ = 59.2°, intensity 44; 2θ = 24.1°, intensity 43; 2θ = 67.4°, intensity 42; 2θ = 26.6°, intensity 40; 2θ = 44.2°, intensity 37; 2θ = 77.1°, intensity 21

Crystal structure
a = 4.098 Å, b = 5.830 Å, c = 8.570 Å
α = 90.00°, β = 90.00°, γ = 90.00°
Space group Imm2 (No. 44)
Symmetry-distinct sites (fractional):
Gd (0.000, 0.000, 0.000) x2
Ho (0.000, 0.000, 0.604) x2
Al (0.000, 0.500, 0.802) x2
Ir (0.000, 0.259, 0.302) x4

***

(8)
The following is a simulated PXRD pattern of LaGa2PdPt2. It was derived from a crystal structure in OQMD, relaxed with GGA-PBE, using Cu Kα, 1.54184 Å.
Intensities are scaled so that the largest is 100.

The 10 most intense peaks (2θ = 15–90°), in order of falling intensity:
2θ = 38.9°, intensity 100; 2θ = 36.7°, intensity 87; 2θ = 43.2°, intensity 66; 2θ = 28.6°, intensity 63; 2θ = 59.2°, intensity 44; 2θ = 44.7°, intensity 33; 2θ = 83.4°, intensity 32; 2θ = 66.1°, intensity 30; 2θ = 61.2°, intensity 26; 2θ = 18.1°, intensity 26

Crystal structure
a = 5.651 Å, b = 9.793 Å, c = 4.052 Å
α = 90.00°, β = 90.00°, γ = 90.00°
Space group Cmmm (No. 65)
Symmetry-distinct sites (fractional):
La (0.000, 0.000, 0.000) x2
Ga (0.000, 0.333, 0.000) x4
Pd (0.000, 0.500, 0.500) x2
Pt (0.250, 0.250, 0.500) x4

***

(9)
The following is a simulated PXRD pattern of Ho4Al4O11. It was derived from a crystal structure in OQMD, relaxed with GGA-PBE, using Cu Kα, 1.54184 Å.
Intensities are scaled so that the largest is 100.

The 10 most intense peaks (2θ = 15–90°), in order of falling intensity:
2θ = 24.2°, intensity 100; 2θ = 34.4°, intensity 82; 2θ = 34.3°, intensity 77; 2θ = 24.0°, intensity 50; 2θ = 34.9°, intensity 41; 2θ = 42.9°, intensity 41; 2θ = 33.7°, intensity 32; 2θ = 42.0°, intensity 31; 2θ = 62.0°, intensity 28; 2θ = 49.6°, intensity 24

Crystal structure
a = 5.148 Å, b = 5.313 Å, c = 7.358 Å
α = 89.92°, β = 89.92°, γ = 89.69°
Space group P1 (No. 1)
Symmetry-distinct sites (fractional):
Ho (0.000, 0.000, 0.000) x1
Ho (0.025, 0.111, 0.500) x1
Ho (0.497, 0.610, 0.506) x1
Ho (0.528, 0.502, 0.002) x1
Al (0.013, 0.556, 0.252) x1
Al (0.017, 0.552, 0.751) x1
Al (0.511, 0.058, 0.751) x1
Al (0.513, 0.056, 0.252) x1
O (0.102, 0.577, 0.001) x1
O (0.218, 0.851, 0.706) x1
O (0.219, 0.850, 0.297) x1
O (0.309, 0.351, 0.301) x1
O (0.424, 0.082, 0.001) x1
O (0.597, 0.036, 0.502) x1
O (0.717, 0.761, 0.797) x1
O (0.719, 0.763, 0.204) x1
O (0.807, 0.262, 0.796) x1
O (0.809, 0.261, 0.205) x1
O (0.925, 0.534, 0.501) x1

***

(10)
The following is a simulated PXRD pattern of TmFe5P3. It was derived from a crystal structure in OQMD, relaxed with GGA-PBE, using Cu Kα, 1.54184 Å.
Intensities are scaled so that the largest is 100.

The 10 most intense peaks (2θ = 15–90°), in order of falling intensity:
2θ = 39.4°, intensity 100; 2θ = 39.5°, intensity 52; 2θ = 50.3°, intensity 31; 2θ = 40.5°, intensity 25; 2θ = 27.2°, intensity 22; 2θ = 54.0°, intensity 20; 2θ = 38.1°, intensity 18; 2θ = 76.9°, intensity 17; 2θ = 35.9°, intensity 16; 2θ = 30.3°, intensity 13

Crystal structure
a = 11.751 Å, b = 3.629 Å, c = 10.232 Å
α = 90.00°, β = 90.00°, γ = 90.00°
Space group Pnma (No. 62)
Symmetry-distinct sites (fractional):
Tm (0.204, 0.250, 0.081) x4
Fe (0.010, 0.750, 0.095) x4
Fe (0.011, 0.750, 0.708) x4
Fe (0.068, 0.750, 0.463) x4
Fe (0.177, 0.250, 0.781) x4
Fe (0.202, 0.250, 0.376) x4
P (0.104, 0.750, 0.900) x4
P (0.113, 0.250, 0.578) x4
P (0.128, 0.750, 0.265) x4

***

(11)
The following is a simulated PXRD pattern of KHfTePdSeS. It was derived from a crystal structure in OQMD, relaxed with GGA-PBE, using Cu Kα, 1.54184 Å.
Intensities are scaled so that the largest is 100.

The 10 most intense peaks (2θ = 15–90°), in order of falling intensity:
2θ = 30.4°, intensity 100; 2θ = 31.5°, intensity 91; 2θ = 43.3°, intensity 55; 2θ = 28.6°, intensity 51; 2θ = 36.8°, intensity 46; 2θ = 46.2°, intensity 41; 2θ = 35.3°, intensity 37; 2θ = 53.2°, intensity 35; 2θ = 38.2°, intensity 31; 2θ = 35.1°, intensity 31

Crystal structure
a = 8.864 Å, b = 3.932 Å, c = 10.083 Å
α = 90.00°, β = 111.94°, γ = 90.00°
Space group P2_1/m (No. 11)
Symmetry-distinct sites (fractional):
K (0.229, 0.250, 0.296) x2
Hf (0.288, 0.750, 0.814) x2
Te (0.444, 0.750, 0.138) x2
Pd (0.097, 0.250, 0.586) x2
Se (0.106, 0.250, 0.850) x2
S (0.240, 0.750, 0.558) x2

***

(12)
The following is a simulated PXRD pattern of Ho2TmCd4In2. It was derived from a crystal structure in OQMD, relaxed with GGA-PBE, using Cu Kα, 1.54184 Å.
Intensities are scaled so that the largest is 100.

The 10 most intense peaks (2θ = 15–90°), in order of falling intensity:
2θ = 34.0°, intensity 100; 2θ = 30.9°, intensity 72; 2θ = 39.2°, intensity 31; 2θ = 36.8°, intensity 27; 2θ = 54.9°, intensity 24; 2θ = 42.0°, intensity 21; 2θ = 67.8°, intensity 13; 2θ = 36.9°, intensity 13; 2θ = 66.4°, intensity 13; 2θ = 66.2°, intensity 12

Crystal structure
a = 4.591 Å, b = 12.878 Å, c = 7.463 Å
α = 90.00°, β = 90.00°, γ = 90.00°
Space group Amm2 (No. 38)
Symmetry-distinct sites (fractional):
Ho (0.000, 0.214, 0.000) x4
Tm (0.000, 0.000, 0.357) x2
Cd (0.000, 0.000, 0.784) x2
Cd (0.500, 0.000, 0.028) x2
Cd (0.500, 0.122, 0.664) x4
In (0.500, 0.166, 0.286) x4